Record 1
The following is a theoretical powder X-ray diffraction pattern of Ac5PmSm6. It was derived from a DFT-relaxed cell (GGA-PBE, Alexandria), using Cu Kα (λ = 1.5418 Å).
Lines closer than 0.1° are merged.

Atomic structure:
Cell: 5.410 10.420 16.259 Å, 90.00 90.00 90.00°
Space group Immm (No. 71)
One atom of each set of equivalent atoms:
Ac1 0.000 0.000 0.000 x2
Ac2 0.000 0.000 0.337 x4
Ac3 0.000 0.500 0.333 x4
Pm1 0.000 0.500 0.000 x2
Sm1 0.000 0.247 0.500 x4
Sm2 0.000 0.252 0.165 x8

Largest 10 diffraction maxima, in order of falling intensity, 2θ from 5° to 70°:
- hkl 1 2 3, 28.94°, I 100
- hkl 2 0 0, 33.09°, I 35
- hkl 3 2 3, 56.58°, I 31
- hkl 2 4 0, 48.50°, I 25
- hkl 0 4 0, 34.43°, I 16
- hkl 1 6 3, 58.34°, I 14
- hkl 2 4 6, 59.97°, I 13
- hkl 2 0 6, 47.49°, I 13
- hkl 0 2 0, 17.02°, I 2
- hkl 1 0 3, 23.23°, I 2



Record 2
The following is a theoretical powder X-ray diffraction pattern of Ho3ZnSn. It was derived from a DFT-relaxed cell (GGA-PBE, Alexandria), using Cu Kα (λ = 1.5418 Å).
Lines closer than 0.1° are merged.

Atomic structure:
Cell: 5.914 10.645 8.327 Å, 90.00 90.00 90.00°
Space group Pnma (No. 62)
One atom of each set of equivalent atoms:
Ho1 0.016 0.098 0.138 x8
Ho2 0.218 0.750 0.287 x4
Zn1 0.090 0.250 0.432 x4
Sn1 0.000 0.000 0.500 x4

Largest 10 diffraction maxima, in order of falling intensity, 2θ from 5° to 70°:
- hkl 0 3 1, 27.32°, I 100
- hkl 2 1 1, 33.24°, I 80
- hkl 1 3 2, 36.58°, I 79
- hkl 1 4 1, 38.64°, I 72
- hkl 1 0 3, 35.73°, I 58
- hkl 2 2 0, 34.70°, I 48
- hkl 0 1 3, 33.36°, I 37
- hkl 1 1 2, 27.51°, I 34
- hkl 0 2 2, 27.19°, I 31
- hkl 2 0 0, 30.22°, I 30



Record 3
The following is a theoretical powder X-ray diffraction pattern of Nd8Tm5Sc. It was derived from a DFT-relaxed cell (GGA-PBE, Alexandria), using Cu Kα (λ = 1.5418 Å).
Lines closer than 0.1° are merged.

Atomic structure:
Cell: 15.399 8.341 8.554 Å, 90.00 121.17 90.00°
Space group C2 (No. 5)
One atom of each set of equivalent atoms:
Nd1 0.124 0.000 0.181 x4
Nd2 0.170 0.600 0.213 x4
Nd3 0.183 0.289 0.919 x4
Nd4 0.185 0.779 0.569 x4
Tm1 0.000 0.045 0.500 x2
Tm2 0.049 0.693 0.771 x4
Tm3 0.103 0.377 0.465 x4
Sc1 0.000 0.340 0.000 x2

Largest 10 diffraction maxima, in order of falling intensity, 2θ from 5° to 70°:
- hkl 4 2 -1, 31.69°, I 100
- hkl 5 1 -1, 31.42°, I 98
- hkl 1 1 2, 30.48°, I 94
- hkl 4 0 -3, 32.45°, I 78
- hkl 2 2 -2, 29.94°, I 63
- hkl 2 2 1, 31.07°, I 54
- hkl 1 3 0, 32.93°, I 54
- hkl 3 1 1, 30.59°, I 49
- hkl 0 2 2, 32.55°, I 47
- hkl 3 1 -2, 24.61°, I 40